For K6Ba2CaU6O24, a GGA-PBE-relaxed structure gives the calculated XRD peak list in this record (Cu Kα X-rays).
Neutral-atom scattering factors, no anomalous dispersion.

Atomic structure:
```
K6Ba2CaU6O24
1.0
4.3612 -6.2242 0.0000
4.3612 6.2242 0.0000
0.0000 0.0000 12.3037
K Ba Ca U O
6 2 1 6 24
Cartesian
2.1806 3.1121 6.1518
2.0483 0.0000 2.9785
2.0483 0.0000 9.3252
2.1806 -3.1121 6.1518
6.6741 0.0000 2.9785
6.6741 0.0000 9.3252
2.1806 3.1121 0.0000
2.1806 -3.1121 0.0000
4.3612 0.0000 6.1518
0.0000 0.0000 6.1518
4.3612 3.0775 3.1315
4.3612 3.0775 9.1722
4.3612 0.0000 0.0000
4.3612 -3.0775 3.1315
4.3612 -3.0775 9.1722
2.1806 3.1121 3.0200
2.1806 3.1121 9.2837
4.3612 4.6686 4.6238
4.3612 4.6686 7.6799
4.3612 4.3564 1.7030
4.3612 4.3564 10.6007
1.9629 0.0000 6.1518
2.4549 0.0000 0.0000
4.3612 1.6904 4.5074
4.3612 1.6904 7.7963
4.3612 1.6162 1.4897
4.3612 1.6162 10.8139
2.1806 -3.1121 3.0200
2.1806 -3.1121 9.2837
4.3612 -1.6162 1.4897
4.3612 -1.6162 10.8139
4.3612 -1.6904 4.5074
4.3612 -1.6904 7.7963
6.2676 0.0000 0.0000
6.7595 0.0000 6.1518
4.3612 -4.3564 1.7030
4.3612 -4.3564 10.6007
4.3612 -4.6686 4.6238
4.3612 -4.6686 7.6799
```

Peak list (10 most intense, 10 to 80 degrees two-theta, by intensity)
28.91 deg, d = 3.089 Å, I = 100
20.32 deg, d = 4.371 Å, I = 58
14.34 deg, d = 6.176 Å, I = 32
41.27 deg, d = 2.188 Å, I = 31
51.37 deg, d = 1.779 Å, I = 30
28.69 deg, d = 3.112 Å, I = 26
29.03 deg, d = 3.076 Å, I = 25
50.95 deg, d = 1.792 Å, I = 21
59.89 deg, d = 1.544 Å, I = 19
46.49 deg, d = 1.954 Å, I = 19